Starting from DFT lattice parameters and positions (GGA-PBE), the X-ray powder pattern of Hf4Fe4Ge7 was simulated for a wavelength of 1.5418 Å.

Peak list (10 most intense, 2θ = 10–90°, low angle first)
2θ (°)  Rel. int.  h k l
29.71  11.0  3 2 1
34.87  17.8  0 0 2
37.94  100.0  5 0 1
38.10  14.7  4 4 0
40.51  20.8  6 0 0
41.07  37.1  3 1 2
56.71  8.3  6 5 1
64.26  11.0  7 3 2
64.56  21.0  5 0 3
73.61  9.8  0 0 4

Structural model:
Cell: 13.3606 13.3606 5.1459 Å, 90.00 90.00 90.00°
Space group I4/mmm (No. 139)
Symmetry-distinct sites (fractional):
Hf 0.0000 0.1949 0.0000 x8
Hf 0.1396 0.1396 0.5000 x8
Fe 0.1488 0.3512 0.2500 x16
Ge 0.0000 0.0000 0.2512 x4
Ge 0.0000 0.2903 0.5000 x8
Ge 0.0000 0.4063 0.0000 x8
Ge 0.2062 0.2062 0.0000 x8

Starting from DFT lattice parameters and positions (GGA-PBE), the X-ray powder pattern of HfFeGe was simulated for a wavelength of 1.5418 Å.

Peak list (10 most intense, 2θ = 10–90°, low angle first)
2θ (°)  Rel. int.  h k l
27.35  20.3  1 1 0
31.68  25.8  2 0 0
36.59  100.0  1 1 1
40.03  99.6  2 0 1
42.33  40.1  2 1 0
48.81  25.4  0 0 2
58.95  20.4  3 1 0
64.51  32.1  3 1 1
66.56  20.2  2 1 2
78.06  19.2  3 2 1

Structural model:
Cell: 6.5227 6.5227 3.7319 Å, 90.00 90.00 120.00°
Space group P-62m (No. 189)
Symmetry-distinct sites (fractional):
Hf 0.0000 0.5827 0.0000 x3
Fe 0.0000 0.2398 0.5000 x3
Ge 0.0000 0.0000 0.0000 x1
Ge 0.3333 0.6667 0.5000 x2

Starting from DFT lattice parameters and positions (GGA-PBE), the X-ray powder pattern of HoFeGe2 was simulated for a wavelength of 1.5418 Å.

Peak list (10 most intense, 2θ = 10–90°, low angle first)
2θ (°)  Rel. int.  h k l
30.85  20.5  1 1 1
34.52  100.0  1 3 1
34.72  35.7  1 5 0
39.00  28.3  0 6 1
43.02  27.5  0 0 2
43.93  25.9  2 0 0
54.56  12.8  1 9 0
56.42  17.4  1 5 2
60.17  15.6  2 6 1
63.17  17.2  2 0 2

Structural model:
Cell: 4.1224 16.5816 4.2052 Å, 90.00 90.00 90.00°
Space group Cmcm (No. 63)
Symmetry-distinct sites (fractional):
Ho 0.0000 0.1083 0.2500 x4
Fe 0.0000 0.3190 0.2500 x4
Ge 0.0000 0.2517 0.7500 x4
Ge 0.0000 0.4551 0.2500 x4

Starting from DFT lattice parameters and positions (GGA-PBE), the X-ray powder pattern of HoFe4Ge2 was simulated for a wavelength of 1.5418 Å.

Peak list (10 most intense, 2θ = 10–90°, low angle first)
2θ (°)  Rel. int.  h k l
26.16  18.9  1 0 1
34.95  29.5  2 2 0
36.16  100.0  2 1 1
39.23  38.5  3 1 0
42.29  26.6  2 2 1
46.00  43.6  3 1 1
47.13  27.9  0 0 2
57.53  13.5  4 1 1
62.94  18.4  3 1 2
69.11  20.3  4 3 1

Structural model:
Cell: 7.2619 7.2619 3.8569 Å, 90.00 90.00 90.00°
Space group P4_2/mnm (No. 136)
Symmetry-distinct sites (fractional):
Ho 0.0000 0.0000 0.0000 x2
Fe 0.0896 0.3521 0.5000 x8
Ge 0.2166 0.7834 0.5000 x4

Starting from DFT lattice parameters and positions (GGA-PBE), the X-ray powder pattern of Ho2FeGe4 was simulated for a wavelength of 1.5418 Å.

Peak list (10 most intense, 2θ = 10–90°, low angle first)
2θ (°)  Rel. int.  h k l
24.36  13.9  1 0 2
34.64  15.2  0 0 6
35.09  100.0  1 1 3
36.02  20.2  0 1 5
41.11  16.2  1 0 6
43.33  21.2  0 2 0
43.72  20.6  2 0 0
63.24  13.5  2 2 0
74.15  17.9  1 3 3
74.71  13.4  3 1 3

Structural model:
Cell: 4.1411 4.1765 15.5392 Å, 90.00 90.00 90.00°
Space group Amm2 (No. 38)
Symmetry-distinct sites (fractional):
Ho 0.0000 0.0000 0.0000 x2
Ho 0.5000 0.0000 0.2052 x2
Fe 0.0000 0.0000 0.7970 x2
Ge 0.0000 0.0000 0.3633 x2
Ge 0.0000 0.0000 0.6498 x2
Ge 0.5000 0.0000 0.5398 x2
Ge 0.5000 0.0000 0.8607 x2

Starting from DFT lattice parameters and positions (GGA-PBE), the X-ray powder pattern of K2FeGe3Se8 was simulated for a wavelength of 1.5418 Å.

Peak list (10 most intense, 2θ = 10–90°, low angle first)
2θ (°)  Rel. int.  h k l
13.68  53.9  1 1 0
14.03  60.7  0 2 0
25.67  46.3  2 1 -2
25.98  37.5  0 3 3
27.57  59.3  2 2 -1
28.27  31.5  0 4 0
28.85  100.0  0 2 5
30.24  22.6  0 0 6
36.50  28.2  2 3 -4
43.76  36.0  2 4 4

Structural model:
Cell: 7.5819 12.6253 17.8460 Å, 90.00 95.96 90.00°
Space group P2_1 (No. 4)
Symmetry-distinct sites (fractional):
K 0.2229 0.0000 0.0796 x2
K 0.2371 0.6272 0.5769 x2
K 0.2416 0.6771 0.2055 x2
K 0.2580 0.9610 0.6949 x2
Fe 0.0072 0.3177 0.0915 x2
Fe 0.4475 0.8212 0.3933 x2
Ge 0.0466 0.2978 0.5969 x2
Ge 0.2521 0.2724 0.9267 x2
Ge 0.2663 0.2475 0.2649 x2
Ge 0.2718 0.3609 0.4273 x2
Ge 0.3112 0.3852 0.7688 x2
Ge 0.4876 0.8374 0.8935 x2
Se 0.0084 0.8927 0.5247 x2
Se 0.0278 0.1772 0.1863 x2
Se 0.0289 0.7333 0.0340 x2
Se 0.0569 0.4449 0.6875 x2
Se 0.2132 0.6924 0.3937 x2
Se 0.2235 0.9430 0.8922 x2
Se 0.2246 0.4322 0.2998 x2
Se 0.2452 0.4403 0.0973 x2
Se 0.2774 0.1991 0.8014 x2
Se 0.2897 0.4571 0.8940 x2
Se 0.2993 0.1762 0.3925 x2
Se 0.3161 0.1976 0.6000 x2
Se 0.4106 0.9220 0.2736 x2
Se 0.4441 0.7281 0.7779 x2
Se 0.4829 0.9402 0.5033 x2
Se 0.4987 0.2022 0.0069 x2

Starting from DFT lattice parameters and positions (GGA-PBE), the X-ray powder pattern of La5FeGe3 was simulated for a wavelength of 1.5418 Å.

Peak list (10 most intense, 2θ = 10–90°, low angle first)
2θ (°)  Rel. int.  h k l
27.86  13.4  1 0 2
29.80  20.1  2 1 0
32.19  100.0  1 1 2
32.49  85.2  2 1 1
33.90  47.3  3 0 0
47.45  25.4  2 2 2
49.50  25.9  2 1 3
52.89  14.0  4 1 0
53.08  14.4  4 0 2
63.78  14.7  3 0 4

Structural model:
Cell: 9.1599 9.1599 6.9993 Å, 90.00 90.00 120.00°
Space group P6_3/mcm (No. 193)
Symmetry-distinct sites (fractional):
La 0.0000 0.2481 0.2500 x6
La 0.3333 0.6667 0.0000 x4
Fe 0.0000 0.0000 0.0000 x2
Ge 0.0000 0.3969 0.7500 x6

Starting from DFT lattice parameters and positions (GGA-PBE), the X-ray powder pattern of LaMnFeGe2 was simulated for a wavelength of 1.5418 Å.

Peak list (10 most intense, 2θ = 10–90°, low angle first)
2θ (°)  Rel. int.  h k l
30.76  28.2  1 1 0
33.25  100.0  1 0 3
35.14  79.1  1 1 2
44.06  57.1  2 0 0
47.92  28.2  1 0 5
56.30  43.7  2 1 3
60.94  20.2  1 1 6
64.07  18.0  2 2 0
67.12  20.3  2 1 5
75.22  15.7  3 1 2

Structural model:
Cell: 4.1106 4.1106 10.7023 Å, 90.00 90.00 90.00°
Space group I-4m2 (No. 119)
Symmetry-distinct sites (fractional):
La 0.0000 0.0000 0.0000 x2
Mn 0.0000 0.5000 0.7500 x2
Fe 0.0000 0.5000 0.2500 x2
Ge 0.0000 0.0000 0.3699 x4

Starting from DFT lattice parameters and positions (GGA-PBE), the X-ray powder pattern of LuFeGe2 was simulated for a wavelength of 1.5418 Å.

Peak list (10 most intense, 2θ = 10–90°, low angle first)
2θ (°)  Rel. int.  h k l
31.41  21.7  1 1 1
34.73  36.7  1 5 0
34.94  100.0  1 3 1
38.80  29.6  0 6 1
43.72  26.8  0 0 2
44.94  24.8  2 0 0
54.09  14.2  1 9 0
57.01  17.4  1 5 2
60.85  15.6  2 6 1
64.50  16.5  2 0 2

Structural model:
Cell: 4.0339 16.8155 4.1407 Å, 90.00 90.00 90.00°
Space group Cmcm (No. 63)
Symmetry-distinct sites (fractional):
Lu 0.0000 0.1103 0.2500 x4
Fe 0.0000 0.3221 0.2500 x4
Ge 0.0000 0.2525 0.7500 x4
Ge 0.0000 0.4559 0.2500 x4

Starting from DFT lattice parameters and positions (GGA-PBE), the X-ray powder pattern of LuFe4Ge2 was simulated for a wavelength of 1.5418 Å.

Peak list (10 most intense, 2θ = 10–90°, low angle first)
2θ (°)  Rel. int.  h k l
26.23  22.3  1 0 1
35.38  30.2  2 2 0
36.42  100.0  2 1 1
39.72  38.4  3 1 0
42.65  26.0  2 2 1
46.42  40.6  3 1 1
47.11  27.9  0 0 2
58.15  14.1  4 1 1
63.27  18.8  3 1 2
69.94  20.0  4 3 1

Structural model:
Cell: 7.1759 7.1759 3.8579 Å, 90.00 90.00 90.00°
Space group P4_2/mnm (No. 136)
Symmetry-distinct sites (fractional):
Lu 0.0000 0.0000 0.0000 x2
Fe 0.0909 0.3546 0.5000 x8
Ge 0.2155 0.7845 0.5000 x4

Starting from DFT lattice parameters and positions (GGA-PBE), the X-ray powder pattern of Lu4FeGe8 was simulated for a wavelength of 1.5418 Å.

Peak list (10 most intense, 2θ = 10–90°, low angle first)
2θ (°)  Rel. int.  h k l
25.26  14.9  1 0 2
27.66  8.3  0 1 3
34.19  13.3  0 0 6
35.98  100.0  1 1 3
41.34  13.3  1 0 6
44.29  15.8  0 2 0
46.03  14.7  2 0 0
65.80  10.2  2 2 0
76.07  11.3  1 3 3
78.59  8.7  3 1 3

Structural model:
Cell: 3.9434 4.0899 15.7364 Å, 90.00 90.00 90.00°
Space group Pmm2 (No. 25)
Symmetry-distinct sites (fractional):
Lu 0.0000 0.0000 0.0000 x1
Lu 0.0000 0.5000 0.4943 x1
Lu 0.5000 0.0000 0.7898 x1
Lu 0.5000 0.5000 0.2878 x1
Fe 0.0000 0.5000 0.7030 x1
Ge 0.0000 0.0000 0.3390 x1
Ge 0.0000 0.0000 0.6306 x1
Ge 0.0000 0.5000 0.1426 x1
Ge 0.0000 0.5000 0.8487 x1
Ge 0.5000 0.0000 0.1456 x1
Ge 0.5000 0.0000 0.4495 x1
Ge 0.5000 0.5000 0.6295 x1
Ge 0.5000 0.5000 0.9546 x1

Starting from DFT lattice parameters and positions (GGA-PBE), the X-ray powder pattern of LuFe4Ge2 was simulated for a wavelength of 1.5418 Å.

Peak list (10 most intense, 2θ = 10–90°, low angle first)
2θ (°)  Rel. int.  h k l
35.50  57.3  2 2 0
36.07  90.3  1 2 1
36.59  100.0  2 1 1
39.22  42.1  1 3 0
40.50  32.8  3 1 0
42.62  50.9  2 2 1
45.85  35.1  1 3 1
46.59  55.3  0 0 2
46.98  41.2  3 1 1
59.92  25.4  2 2 2

Structural model:
Cell: 7.0174 7.2936 3.8986 Å, 90.00 90.00 90.00°
Space group Pnnm (No. 58)
Symmetry-distinct sites (fractional):
Lu 0.0000 0.0000 0.0000 x2
Fe 0.0880 0.3538 0.5000 x4
Fe 0.1448 0.5987 0.0000 x4
Ge 0.2211 0.7912 0.5000 x4